# 1
Simulated X-ray powder pattern
Compound: Pr2HoAl6
Radiation: Cu Kα X-rays
Structure: a structure optimized by DFT (GGA-PBE)
Lines closer than 0.1° are merged.

The 10 most intense peaks (5° ≤ 2θ ≤ 70°), sorted by position:
2theta, intensity, index
22.3, 64, 1 1 0
24.2, 10, 0 0 1
33.2, 100, 1 1 1
39.2, 42, 3 0 0
45.5, 10, 2 2 0
46.6, 11, 3 0 1
52.2, 27, 2 2 1
55.0, 11, 1 1 2
64.9, 19, 3 0 2
67.2, 26, 4 1 1

Structural model:
```
Pr2HoAl6
1.0
7.9700 0.0000 0.0000
-3.9850 6.9023 0.0000
0.0000 0.0000 3.6758
Pr Ho Al
2 1 6
Direct
0.3333 0.6667 0.0000
0.6667 0.3333 0.0000
0.0000 0.0000 0.0000
0.0000 0.3304 0.5000
0.0000 0.6696 0.5000
0.3304 0.0000 0.5000
0.3304 0.3304 0.5000
0.6696 0.0000 0.5000
0.6696 0.6696 0.5000
```

# 2
Simulated X-ray powder pattern
Compound: PrHo4Al
Radiation: Cu Kα X-rays
Structure: a structure optimized by DFT (GGA-PBE)
Lines closer than 0.1° are merged.

The 10 most intense peaks (5° ≤ 2θ ≤ 70°), sorted by position:
2theta, intensity, index
25.8, 10, 1 0 1
28.1, 23, 1 0 2
31.7, 100, 1 0 3
32.1, 14, 0 0 5
35.6, 45, 1 1 0
48.7, 18, 1 1 5
51.3, 16, 2 0 0
53.7, 11, 1 1 6
59.0, 17, 1 0 8
61.5, 30, 2 1 3

Structural model:
```
PrHo4Al
1.0
3.5617 0.0000 0.0000
0.0000 3.5617 0.0000
0.0000 0.0000 13.9420
Pr Ho Al
1 4 1
Direct
0.0000 0.0000 0.0000
0.0000 0.0000 0.3669
0.0000 0.0000 0.6331
0.5000 0.5000 0.1849
0.5000 0.5000 0.8151
0.5000 0.5000 0.5000
```